Calculated powder diffractogram
Compound: YAgW2O8
Radiation: Cu Ka
Structure: the GGA+U geometry in the Materials Project

Structure:
Cell: 5.236 6.010 6.253 Å, 69.18 67.67 89.62°
Space group P-1 (No. 2)
Asymmetric unit:
Y1 0.000 0.000 0.000 (multiplicity 1)
Ag1 0.500 0.500 0.000 (multiplicity 1)
W1 0.245 0.669 0.508 (multiplicity 2)
O1 0.140 0.475 0.312 (multiplicity 2)
O2 0.230 0.931 0.255 (multiplicity 2)
O3 0.235 0.795 0.737 (multiplicity 2)
O4 0.345 0.326 0.687 (multiplicity 2)

Principal peaks in the range 5° ≤ 2θ ≤ 70°, by intensity:
2.977 Å, 2θ 30.0, rel. 100, hkl 1 1 2
3.387 Å, 2θ 26.3, rel. 91, hkl 1 1 0
3.263 Å, 2θ 27.3, rel. 82, hkl 1 -1 1
3.076 Å, 2θ 29.0, rel. 69, hkl -1 1 1
5.555 Å, 2θ 16.0, rel. 45, hkl 0 1 0
2.615 Å, 2θ 34.3, rel. 44, hkl 2 0 1
2.673 Å, 2θ 33.5, rel. 35, hkl 0 0 2
5.347 Å, 2θ 16.6, rel. 34, hkl 0 0 1


Calculated powder diffractogram
Compound: Li3AlMo2As2O14
Radiation: Cu Ka
Structure: the GGA+U geometry in the Materials Project

Structure:
Cell: 5.283 5.491 9.586 Å, 96.31 102.34 105.17°
Space group P-1 (No. 2)
Asymmetric unit:
Li1 0.000 0.000 0.000 (multiplicity 1)
Li2 0.194 0.887 0.348 (multiplicity 2)
Al1 0.500 0.500 0.500 (multiplicity 1)
Mo1 0.495 0.339 0.854 (multiplicity 2)
As1 0.150 0.732 0.675 (multiplicity 2)
O1 0.133 0.480 0.765 (multiplicity 2)
O2 0.137 0.292 0.457 (multiplicity 2)
O3 0.161 0.011 0.788 (multiplicity 2)
O4 0.280 0.834 0.091 (multiplicity 2)
O5 0.325 0.337 0.036 (multiplicity 2)
O6 0.417 0.792 0.594 (multiplicity 2)
O7 0.439 0.630 0.323 (multiplicity 2)

Principal peaks in the range 5° ≤ 2θ ≤ 70°, by intensity:
4.895 Å, 2θ 18.1, rel. 100, hkl 1 0 -1
3.764 Å, 2θ 23.6, rel. 83, hkl 1 -1 1
3.802 Å, 2θ 23.4, rel. 80, hkl 0 1 -2
3.187 Å, 2θ 28.0, rel. 62, hkl 0 1 2
2.966 Å, 2θ 30.1, rel. 52, hkl 1 0 -3
5.217 Å, 2θ 17.0, rel. 47, hkl 0 1 0
3.152 Å, 2θ 28.3, rel. 35, hkl 1 1 0
4.933 Å, 2θ 18.0, rel. 34, hkl 1 0 0


Calculated powder diffractogram
Compound: Ca2Al2FeSi4BO16
Radiation: Cu Ka
Structure: the GGA+U geometry in the Materials Project

Structure:
Cell: 7.265 9.019 9.193 Å, 88.27 77.57 81.55°
Space group P-1 (No. 2)
Asymmetric unit:
Ca1 0.178 0.403 0.093 (multiplicity 2)
Ca2 0.246 0.896 0.667 (multiplicity 2)
Al1 0.051 0.241 0.819 (multiplicity 2)
Al2 0.341 0.085 0.942 (multiplicity 2)
Fe1 0.233 0.622 0.399 (multiplicity 2)
Si1 0.210 0.268 0.451 (multiplicity 2)
Si2 0.218 0.977 0.272 (multiplicity 2)
Si3 0.300 0.512 0.739 (multiplicity 2)
Si4 0.354 0.734 0.981 (multiplicity 2)
B1 0.464 0.212 0.634 (multiplicity 2)
O1 0.019 0.932 0.251 (multiplicity 2)
O2 0.042 0.311 0.601 (multiplicity 2)
O3 0.104 0.191 0.997 (multiplicity 2)
O4 0.120 0.439 0.835 (multiplicity 2)
O5 0.142 0.136 0.366 (multiplicity 2)
O6 0.208 0.675 0.130 (multiplicity 2)
O7 0.232 0.417 0.347 (multiplicity 2)
O8 0.236 0.630 0.612 (multiplicity 2)
O9 0.288 0.889 0.898 (multiplicity 2)
O10 0.321 0.851 0.382 (multiplicity 2)
O11 0.331 0.144 0.741 (multiplicity 2)
O12 0.382 0.001 0.128 (multiplicity 2)
O13 0.387 0.597 0.857 (multiplicity 2)
O14 0.420 0.196 0.485 (multiplicity 2)
O15 0.442 0.262 0.979 (multiplicity 2)
O16 0.473 0.377 0.659 (multiplicity 2)

Principal peaks in the range 5° ≤ 2θ ≤ 70°, by intensity:
2.824 Å, 2θ 31.7, rel. 100, hkl 1 3 1
3.166 Å, 2θ 28.2, rel. 80, hkl 0 2 -2
3.511 Å, 2θ 25.4, rel. 66, hkl 2 0 0
2.188 Å, 2θ 41.3, rel. 48, hkl 1 -1 4
2.890 Å, 2θ 30.9, rel. 43, hkl 1 1 3
2.992 Å, 2θ 29.9, rel. 36, hkl 1 0 3
6.324 Å, 2θ 14.0, rel. 34, hkl 0 1 1
3.056 Å, 2θ 29.2, rel. 22, hkl 2 0 -1